The following is a computed X-ray diffraction stick pattern of MgMn4In2O10. It was derived from a crystal structure in the Materials Project, relaxed with PBE+U, using Cu Kα X-rays.
Kinematic intensities with the Lorentz-polarization factor, no thermal factor.

Structural model:
```
data_MgMn4In2O10
_chemical_formula_sum 'Mg1 Mn4 In2 O10'
_space_group_name_H-M_alt 'P 1 m 1'
_space_group_IT_number 6
_cell_length_a 3.912
_cell_length_b 10.191
_cell_length_c 5.707
_cell_angle_alpha 90.00
_cell_angle_beta 110.04
_cell_angle_gamma 90.00
loop_
_space_group_symop_operation_xyz
'x,y,z'
'x,-y,z'
loop_
_atom_site_label
_atom_site_type_symbol
_atom_site_fract_x
_atom_site_fract_y
_atom_site_fract_z
Mg1 Mg 0.000 0.000 0.000
Mn1 Mn 0.353 0.313 0.713
Mn2 Mn 0.619 0.194 0.244
In1 In 0.278 0.000 0.561
In2 In 0.681 0.500 0.369
O1 O 0.127 0.154 0.260
O2 O 0.277 0.500 0.562
O3 O 0.437 0.126 0.884
O4 O 0.539 0.358 0.084
O5 O 0.705 0.000 0.417
O6 O 0.777 0.291 0.560
```

Peak list (10 most intense, 10° ≤ 2θ ≤ 90°, low angle first)
2theta	intensity	h k l
16.53	87.0	0 0 1
24.09	43.8	0 2 1
24.22	100.0	1 0 0
25.77	88.8	1 1 0
31.17	96.4	0 3 1
33.97	71.5	1 0 1
36.00	93.7	1 3 0
37.92	42.3	0 2 2
46.43	58.0	2 0 -1
51.82	48.8	1 2 2


The following is a computed X-ray diffraction stick pattern of NaMg3InMo5O20. It was derived from a crystal structure in the Materials Project, relaxed with PBE+U, using Cu Kα X-rays.
Kinematic intensities with the Lorentz-polarization factor, no thermal factor.

Structural model:
```
data_NaMg3InMo5O20
_chemical_formula_sum 'Na2 Mg6 In2 Mo10 O40'
_space_group_name_H-M_alt 'P 1'
_space_group_IT_number 1
_cell_length_a 7.112
_cell_length_b 7.175
_cell_length_c 18.262
_cell_angle_alpha 87.38
_cell_angle_beta 87.49
_cell_angle_gamma 79.18
loop_
_space_group_symop_operation_xyz
'x,y,z'
loop_
_atom_site_label
_atom_site_type_symbol
_atom_site_fract_x
_atom_site_fract_y
_atom_site_fract_z
Na1 Na 0.000 0.000 0.000
Na2 Na 0.268 0.675 0.567
Mg1 Mg 0.307 0.414 0.400
Mg2 Mg 0.384 0.637 0.015
Mg3 Mg 0.885 0.037 0.548
Mg4 Mg 0.913 0.760 0.412
Mg5 Mg 0.943 0.513 0.790
Mg6 Mg 0.958 0.264 0.170
In1 In 0.321 0.167 0.776
In2 In 0.355 0.915 0.158
Mo1 Mo 0.353 0.163 0.568
Mo2 Mo 0.383 0.882 0.371
Mo3 Mo 0.405 0.646 0.810
Mo4 Mo 0.408 0.399 0.190
Mo5 Mo 0.454 0.117 0.976
Mo6 Mo 0.817 0.559 0.592
Mo7 Mo 0.862 0.277 0.377
Mo8 Mo 0.868 0.025 0.757
Mo9 Mo 0.888 0.791 0.199
Mo10 Mo 0.917 0.512 0.998
O1 O 0.011 0.204 0.781
O2 O 0.041 0.956 0.159
O3 O 0.081 0.671 0.014
O4 O 0.190 0.004 0.553
O5 O 0.226 0.722 0.408
O6 O 0.253 0.475 0.788
O7 O 0.270 0.219 0.166
O8 O 0.299 0.382 0.513
O9 O 0.305 0.125 0.393
O10 O 0.318 0.137 0.895
O11 O 0.335 0.225 0.662
O12 O 0.335 0.870 0.760
O13 O 0.344 0.451 0.282
O14 O 0.358 0.940 0.039
O15 O 0.364 0.621 0.134
O16 O 0.382 0.689 0.905
O17 O 0.384 0.870 0.273
O18 O 0.424 0.343 0.016
O19 O 0.572 0.635 0.613
O20 O 0.591 0.051 0.547
O21 O 0.613 0.372 0.386
O22 O 0.614 0.799 0.404
O23 O 0.624 0.125 0.780
O24 O 0.647 0.552 0.789
O25 O 0.654 0.303 0.181
O26 O 0.659 0.880 0.161
O27 O 0.677 0.624 0.020
O28 O 0.698 0.041 0.955
O29 O 0.848 0.331 0.552
O30 O 0.887 0.801 0.295
O31 O 0.889 0.986 0.662
O32 O 0.905 0.053 0.431
O33 O 0.910 0.734 0.528
O34 O 0.926 0.226 0.284
O35 O 0.934 0.455 0.904
O36 O 0.934 0.803 0.806
O37 O 0.948 0.539 0.675
O38 O 0.966 0.550 0.175
O39 O 0.971 0.293 0.054
O40 O 0.995 0.461 0.400
```

Peak list (10 most intense, 10° ≤ 2θ ≤ 90°, low angle first)
2theta	intensity	h k l
21.84	26.6	1 -1 2
24.41	98.1	0 0 5
25.54	100.0	2 0 0
25.96	14.8	0 2 -1
26.33	22.0	1 2 1
26.85	24.2	1 2 -1
30.80	13.1	-1 2 1
32.71	16.5	0 2 -4
36.26	14.6	2 0 -5
51.10	18.3	1 4 0


The following is a computed X-ray diffraction stick pattern of MgInNi2SbO6. It was derived from a crystal structure in the Materials Project, relaxed with PBE+U, using Cu Kα X-rays.
Kinematic intensities with the Lorentz-polarization factor, no thermal factor.

Structural model:
```
data_MgInNi2SbO6
_chemical_formula_sum 'Mg3 In3 Ni6 Sb3 O18'
_space_group_name_H-M_alt 'R 3'
_space_group_IT_number 146
_space_group_name_Hall 'R 3'
_cell_length_a 5.4122
_cell_length_b 5.4122
_cell_length_c 16.0467
_cell_angle_alpha 90.00
_cell_angle_beta 90.00
_cell_angle_gamma 120.00
loop_
_atom_site_label
_atom_site_type_symbol
_atom_site_fract_x
_atom_site_fract_y
_atom_site_fract_z
Mg1 Mg 0.0000 0.0000 0.0000
In1 In 0.0000 0.0000 0.3591
Ni1 Ni 0.0000 0.0000 0.1788
Ni2 Ni 0.0000 0.0000 0.6127
Sb1 Sb 0.0000 0.0000 0.8150
O1 O 0.0316 0.3583 0.9310
O2 O 0.0405 0.6808 0.7533
```

Peak list (10 most intense, 10° ≤ 2θ ≤ 90°, low angle first)
2theta	intensity	h k l
21.96	46.9	0 1 2
29.30	49.9	1 0 4
33.10	100.0	1 1 0
33.85	60.2	0 1 5
44.79	15.0	0 2 4
47.82	37.7	1 1 6
48.07	26.4	2 0 5
56.81	14.3	2 1 4
59.13	32.4	3 0 0
59.61	24.9	3 -2 5